This entry pairs a crystal structure of Sr2Cu2WO7 with its calculated X-ray diffraction stick pattern. Radiation: CuKα. Structure: DFT lattice parameters and positions (PBE+U).

The 8 most intense peaks (2θ = 15–90°), in order of rising 2θ:
2θ (°)  Rel. int.
16.98  17.2
20.62  37.3
27.37  100.0
31.52  38.2
33.58  45.9
34.72  19.2
36.63  20.4
49.08  17.0

```
data_Sr2Cu2WO7
_chemical_formula_sum 'Sr4 Cu4 W2 O14'
_symmetry_space_group_name_H-M 'P 1'
_symmetry_Int_Tables_number 1
_cell_length_a 13.458
_cell_length_b 13.458
_cell_length_c 5.329
_cell_angle_alpha 101.39
_cell_angle_beta 101.39
_cell_angle_gamma 147.48
loop_
_symmetry_equiv_pos_as_xyz
'x,y,z'
loop_
_atom_site_label
_atom_site_fract_x
_atom_site_fract_y
_atom_site_fract_z
Sr1 0.118 0.882 0.000
Sr2 0.385 0.620 0.983
Sr3 0.620 0.385 0.983
Sr4 0.882 0.118 0.000
Cu1 0.193 0.810 0.493
Cu2 0.309 0.692 0.488
Cu3 0.692 0.309 0.488
Cu4 0.810 0.193 0.493
W1 0.001 0.001 0.578
W2 0.585 0.585 0.478
O1 0.037 0.903 0.428
O2 0.074 0.429 0.491
O3 0.077 0.425 0.991
O4 0.383 0.383 0.976
O5 0.425 0.077 0.991
O6 0.429 0.074 0.491
O7 0.449 0.579 0.524
O8 0.573 0.928 0.990
O9 0.575 0.926 0.490
O10 0.579 0.449 0.524
O11 0.903 0.037 0.428
O12 0.926 0.575 0.490
O13 0.928 0.573 0.990
O14 0.953 0.953 0.906
```


This entry pairs a crystal structure of Sr4ZnCuW2O12 with its calculated X-ray diffraction stick pattern. Radiation: CuKα. Structure: DFT lattice parameters and positions (PBE+U).

The 8 most intense peaks (2θ = 15–90°), in order of rising 2θ:
2θ (°)  Rel. int.
19.13  29.9
31.38  100.0
31.68  53.2
44.52  16.9
45.42  29.6
55.67  21.6
56.25  42.5
65.49  18.7

```
data_Sr4ZnCuW2O12
_chemical_formula_sum 'Sr4 Zn1 Cu1 W2 O12'
_symmetry_space_group_name_H-M 'P 1'
_symmetry_Int_Tables_number 1
_cell_length_a 5.648
_cell_length_b 5.648
_cell_length_c 8.140
_cell_angle_alpha 90.00
_cell_angle_beta 90.00
_cell_angle_gamma 90.00
loop_
_symmetry_equiv_pos_as_xyz
'x,y,z'
loop_
_atom_site_label
_atom_site_fract_x
_atom_site_fract_y
_atom_site_fract_z
Sr1 0.000 0.500 0.249
Sr2 0.000 0.500 0.751
Sr3 0.500 0.000 0.249
Sr4 0.500 0.000 0.751
Zn1 0.000 0.000 0.500
Cu1 0.500 0.500 0.000
W1 0.000 0.000 0.000
W2 0.500 0.500 0.500
O1 0.000 0.000 0.240
O2 0.000 0.000 0.760
O3 0.194 0.714 0.000
O4 0.213 0.308 0.500
O5 0.286 0.194 0.000
O6 0.308 0.787 0.500
O7 0.500 0.500 0.260
O8 0.500 0.500 0.740
O9 0.692 0.213 0.500
O10 0.714 0.806 0.000
O11 0.787 0.692 0.500
O12 0.806 0.286 0.000
```


Please write out number 2 again, unchanged.
This entry pairs a crystal structure of Sr4ZnCuW2O12 with its calculated X-ray diffraction stick pattern. Radiation: CuKα. Structure: DFT lattice parameters and positions (PBE+U).

The 8 most intense peaks (2θ = 15–90°), in order of rising 2θ:
2θ (°)  Rel. int.
19.13  29.9
31.38  100.0
31.68  53.2
44.52  16.9
45.42  29.6
55.67  21.6
56.25  42.5
65.49  18.7

```
data_Sr4ZnCuW2O12
_chemical_formula_sum 'Sr4 Zn1 Cu1 W2 O12'
_symmetry_space_group_name_H-M 'P 1'
_symmetry_Int_Tables_number 1
_cell_length_a 5.648
_cell_length_b 5.648
_cell_length_c 8.140
_cell_angle_alpha 90.00
_cell_angle_beta 90.00
_cell_angle_gamma 90.00
loop_
_symmetry_equiv_pos_as_xyz
'x,y,z'
loop_
_atom_site_label
_atom_site_fract_x
_atom_site_fract_y
_atom_site_fract_z
Sr1 0.000 0.500 0.249
Sr2 0.000 0.500 0.751
Sr3 0.500 0.000 0.249
Sr4 0.500 0.000 0.751
Zn1 0.000 0.000 0.500
Cu1 0.500 0.500 0.000
W1 0.000 0.000 0.000
W2 0.500 0.500 0.500
O1 0.000 0.000 0.240
O2 0.000 0.000 0.760
O3 0.194 0.714 0.000
O4 0.213 0.308 0.500
O5 0.286 0.194 0.000
O6 0.308 0.787 0.500
O7 0.500 0.500 0.260
O8 0.500 0.500 0.740
O9 0.692 0.213 0.500
O10 0.714 0.806 0.000
O11 0.787 0.692 0.500
O12 0.806 0.286 0.000
```